The following is a computed XRD peak list of TbHo3In4. It was derived from DFT lattice parameters and positions (PBE), using Cu Kα X-rays.
Intensities are scaled so that the largest is 100.

Peak list (12 most intense, 2θ from 10° to 80°, by angle)
hkl 1 2 1, 30.89°, I = 8; hkl 0 0 2, 32.80°, I = 20; hkl 4 0 0, 33.38°, I = 30; hkl 1 0 2, 33.88°, I = 9; hkl 2 2 1, 34.19°, I = 100; hkl 4 0 2, 47.51°, I = 14; hkl 0 4 0, 50.71°, I = 9; hkl 2 2 3, 59.45°, I = 8; hkl 6 2 1, 60.19°, I = 19; hkl 0 4 2, 61.72°, I = 6; hkl 4 4 0, 62.08°, I = 10; hkl 4 4 2, 72.01°, I = 8

Structure:
```
16
Lattice="10.736 0.000 0.000 0.000 7.201 0.000 0.000 0.000 5.460" Properties=species:S:1:pos:R:3 pbc="T T T"
Tb 0.000 0.000 0.000
Tb 5.368 0.000 0.000
Ho 0.000 3.601 0.000
Ho 2.684 0.000 2.352
Ho 2.684 3.601 2.336
Ho 5.368 3.601 0.000
Ho 8.052 0.000 3.108
Ho 8.052 3.601 3.124
In 0.000 1.814 2.730
In 0.000 5.387 2.730
In 2.684 1.813 5.025
In 2.684 5.388 5.025
In 5.368 1.814 2.730
In 5.368 5.387 2.730
In 8.052 1.813 0.435
In 8.052 5.388 0.435
```